Record 1
The following is a calculated powder XRD pattern of Ge4Bi. It was derived from a crystal structure in Alexandria, relaxed with GGA-PBE, using Cu Kα.
Kinematic intensities with the Lorentz-polarization factor, no thermal factor.

Largest 10 diffraction maxima, low angle first, 2θ = 10–90°:
two_theta	d [Å]	intensity
16.15	5.487	87
22.92	3.880	79
32.64	2.743	100
36.62	2.454	49
40.26	2.240	38
46.83	1.940	73
49.86	1.829	26
58.25	1.584	25
77.86	1.227	33
87.00	1.120	25

Atomic structure:
Cell: 5.487 5.487 5.487 Å, 90.00 90.00 90.00°
Space group Pm-3m (No. 221)
Asymmetric unit:
Ge 0.000 0.000 0.000
Ge 0.000 0.500 0.500
Bi 0.500 0.500 0.500



Record 2
The following is a calculated powder XRD pattern of GeBi2H2Pd7. It was derived from a crystal structure in Alexandria, relaxed with GGA-PBE, using Cu Kα.
Kinematic intensities with the Lorentz-polarization factor, no thermal factor.

Largest 10 diffraction maxima, low angle first, 2θ = 10–90°:
two_theta	d [Å]	intensity
31.38	2.851	25
32.38	2.765	38
35.20	2.549	26
35.42	2.534	21
39.52	2.280	100
44.98	2.015	51
61.39	1.510	17
65.50	1.425	16
74.42	1.275	11
79.28	1.208	30

Atomic structure:
Cell: 5.701 5.699 11.753 Å, 90.00 103.98 90.00°
Space group C2/m (No. 12)
Asymmetric unit:
Ge 0.000 0.000 0.000
Bi 0.199 0.000 0.399
H 0.086 0.500 0.174
Pd 0.000 0.500 0.000
Pd 0.167 0.250 0.832
Pd 0.173 0.500 0.347



Record 3
The following is a calculated powder XRD pattern of Hf7Ge2Bi2. It was derived from a crystal structure in Alexandria, relaxed with GGA-PBE, using Cu Kα.
Kinematic intensities with the Lorentz-polarization factor, no thermal factor.

Largest 10 diffraction maxima, low angle first, 2θ = 10–90°:
two_theta	d [Å]	intensity
12.09	7.322	22
15.48	5.725	23
30.41	2.939	35
34.51	2.599	34
35.07	2.558	44
35.60	2.522	33
36.23	2.480	100
36.55	2.458	29
36.70	2.449	26
36.83	2.441	31

Atomic structure:
Cell: 7.135 10.395 7.616 Å, 90.00 105.99 90.00°
Space group C2/m (No. 12)
Asymmetric unit:
Hf 0.000 0.000 0.000
Hf 0.086 0.500 0.841
Hf 0.173 0.259 0.172
Ge 0.183 0.000 0.742
Bi 0.000 0.326 0.500



Record 4
The following is a calculated powder XRD pattern of HfGeBiIr2N. It was derived from a crystal structure in Alexandria, relaxed with GGA-PBE, using Cu Kα.
Kinematic intensities with the Lorentz-polarization factor, no thermal factor.

Largest 10 diffraction maxima, low angle first, 2θ = 10–90°:
two_theta	d [Å]	intensity
28.72	3.109	100
37.79	2.381	67
42.42	2.131	65
49.58	1.838	50
58.31	1.582	14
63.88	1.457	15
63.98	1.455	15
67.26	1.392	17
79.63	1.204	18
88.00	1.110	17

Atomic structure:
Cell: 3.6770 3.6770 28.6782 Å, 90.00 90.00 120.00°
Space group R3m (No. 160, hexagonal axes)
Asymmetric unit:
Hf 0.0000 0.0000 0.0000
Ge 0.0000 0.0000 0.1138
Bi 0.0000 0.0000 0.8901
Ir 0.0000 0.0000 0.4001
Ir 0.0000 0.0000 0.4960
N 0.0000 0.0000 0.3256



Record 5
The following is a calculated powder XRD pattern of HfGeBiIr2N. It was derived from a crystal structure in Alexandria, relaxed with GGA-PBE, using Cu Kα.
Kinematic intensities with the Lorentz-polarization factor, no thermal factor.

Largest 10 diffraction maxima, low angle first, 2θ = 10–90°:
two_theta	d [Å]	intensity
29.75	3.003	74
29.85	2.993	74
29.96	2.983	68
33.90	2.644	31
34.01	2.636	42
37.28	2.412	36
39.97	2.256	61
40.10	2.248	100
50.13	1.820	75
50.30	1.814	37

Atomic structure:
Cell: 3.628 3.636 9.649 Å, 89.64 89.79 60.19°
Space group P1 (No. 1)
Asymmetric unit:
Hf 0.000 0.000 0.000
Ge 0.999 0.995 0.350
Bi 0.332 0.319 0.687
Ir 0.666 0.658 0.491
Ir 0.666 0.662 0.206
N 0.667 0.666 0.987



Record 6
The following is a calculated powder XRD pattern of HfGeBiIr2N. It was derived from a crystal structure in Alexandria, relaxed with GGA-PBE, using Cu Kα.
Kinematic intensities with the Lorentz-polarization factor, no thermal factor.

Largest 10 diffraction maxima, low angle first, 2θ = 10–90°:
two_theta	d [Å]	intensity
28.18	3.167	49
29.68	3.010	43
37.18	2.418	10
39.90	2.259	100
47.30	1.922	13
49.87	1.829	41
63.82	1.458	13
65.69	1.421	24
79.21	1.209	15
86.78	1.122	23

Atomic structure:
Cell: 3.6571 3.6571 9.6725 Å, 90.00 90.00 120.00°
Space group P3m1 (No. 156)
Asymmetric unit:
Hf 0.0000 0.0000 0.0000
Ge 0.0000 0.0000 0.6613
Bi 0.0000 0.0000 0.3276
Ir 0.6667 0.3333 0.5140
Ir 0.6667 0.3333 0.8011
N 0.6667 0.3333 0.0212